Computed XRD peak list
Compound: Tl2GaMo
Radiation: copper Kα
Structure: a GGA-PBE-relaxed structure
Kinematic intensities with the Lorentz-polarization factor, no thermal factor.

Principal peaks in the range 10° ≤ 2θ ≤ 90°, in order of rising 2θ:
| 2theta | intensity |
| --- | --- |
| 16.6 | 48 |
| 19.7 | 100 |
| 25.8 | 72 |
| 33.6 | 92 |
| 39.9 | 56 |
| 53.1 | 50 |

Structure:
```
data_Tl2GaMo
_cell_length_a 10.6826
_cell_length_b 10.6826
_cell_length_c 4.9803
_cell_angle_alpha 90.00
_cell_angle_beta 90.00
_cell_angle_gamma 90.00
_space_group_name_H-M_alt 'P 1'
_space_group_IT_number 1
loop_
_space_group_symop_operation_xyz
'x,y,z'
loop_
_atom_site_label
_atom_site_type_symbol
_atom_site_fract_x
_atom_site_fract_y
_atom_site_fract_z
Tl1 Tl 0.0000 0.0000 0.0000
Tl2 Tl 0.0000 0.5000 0.0000
Tl3 Tl 0.2500 0.2500 0.7500
Tl4 Tl 0.2500 0.7500 0.2500
Tl5 Tl 0.5000 0.0000 0.5000
Tl6 Tl 0.5000 0.5000 0.5000
Tl7 Tl 0.7500 0.2500 0.7500
Tl8 Tl 0.7500 0.7500 0.2500
Ga1 Ga 0.0000 0.2500 0.3750
Ga2 Ga 0.0000 0.7500 0.6250
Ga3 Ga 0.5000 0.2500 0.1250
Ga4 Ga 0.5000 0.7500 0.8750
Mo1 Mo 0.0000 0.2500 0.8750
Mo2 Mo 0.0000 0.7500 0.1250
Mo3 Mo 0.5000 0.2500 0.6250
Mo4 Mo 0.5000 0.7500 0.3750
```

Computed XRD peak list
Compound: V5Ga5Mo
Radiation: copper Kα
Structure: a GGA-PBE-relaxed structure
Kinematic intensities with the Lorentz-polarization factor, no thermal factor.

Principal peaks in the range 10° ≤ 2θ ≤ 90°, in order of rising 2θ:
| 2theta | intensity |
| --- | --- |
| 27.2 | 21 |
| 38.6 | 45 |
| 39.1 | 47 |
| 43.4 | 100 |
| 56.1 | 29 |
| 73.8 | 19 |

Structure:
```
data_V5Ga5Mo
_cell_length_a 7.8446
_cell_length_b 7.8446
_cell_length_c 7.8446
_cell_angle_alpha 145.84
_cell_angle_beta 139.73
_cell_angle_gamma 53.81
_space_group_name_H-M_alt 'P 1'
_space_group_IT_number 1
loop_
_space_group_symop_operation_xyz
'x,y,z'
loop_
_atom_site_label
_atom_site_type_symbol
_atom_site_fract_x
_atom_site_fract_y
_atom_site_fract_z
V1 V 0.0000 0.0000 0.0000
V2 V 0.0999 0.3388 0.7611
V3 V 0.4223 0.6612 0.7611
V4 V 0.5777 0.3388 0.2389
V5 V 0.9001 0.6612 0.2389
Ga1 Ga 0.1788 0.1788 0.0000
Ga2 Ga 0.3425 0.8425 0.5000
Ga3 Ga 0.5000 0.5000 0.0000
Ga4 Ga 0.6575 0.1575 0.5000
Ga5 Ga 0.8212 0.8212 0.0000
Mo1 Mo 0.0000 0.5000 0.5000
```

Computed XRD peak list
Compound: V8Ga6Mo
Radiation: copper Kα
Structure: a GGA-PBE-relaxed structure
Kinematic intensities with the Lorentz-polarization factor, no thermal factor.

Principal peaks in the range 10° ≤ 2θ ≤ 90°, in order of rising 2θ:
| 2theta | intensity |
| --- | --- |
| 37.3 | 43 |
| 40.1 | 100 |
| 43.6 | 91 |
| 45.3 | 63 |
| 49.9 | 19 |
| 74.0 | 19 |

Structure:
```
data_V8Ga6Mo
_cell_length_a 6.5716
_cell_length_b 6.5716
_cell_length_c 6.5716
_cell_angle_alpha 66.30
_cell_angle_beta 66.30
_cell_angle_gamma 66.30
_space_group_name_H-M_alt 'P 1'
_space_group_IT_number 1
loop_
_space_group_symop_operation_xyz
'x,y,z'
loop_
_atom_site_label
_atom_site_type_symbol
_atom_site_fract_x
_atom_site_fract_y
_atom_site_fract_z
V1 V 0.1041 0.3789 0.8857
V2 V 0.1143 0.8959 0.6211
V3 V 0.2462 0.2462 0.2462
V4 V 0.3789 0.8857 0.1041
V5 V 0.6211 0.1143 0.8959
V6 V 0.7538 0.7538 0.7538
V7 V 0.8857 0.1041 0.3789
V8 V 0.8959 0.6211 0.1143
Ga1 Ga 0.1313 0.6291 0.4043
Ga2 Ga 0.3709 0.5957 0.8687
Ga3 Ga 0.4043 0.1313 0.6291
Ga4 Ga 0.5957 0.8687 0.3709
Ga5 Ga 0.6291 0.4043 0.1313
Ga6 Ga 0.8687 0.3709 0.5957
Mo1 Mo 0.0000 0.0000 0.0000
```

Computed XRD peak list
Compound: V12Ga3Mo
Radiation: copper Kα
Structure: a GGA-PBE-relaxed structure
Kinematic intensities with the Lorentz-polarization factor, no thermal factor.

Principal peaks in the range 10° ≤ 2θ ≤ 90°, in order of rising 2θ:
| 2theta | intensity |
| --- | --- |
| 37.3 | 24 |
| 37.6 | 47 |
| 42.0 | 40 |
| 42.2 | 63 |
| 46.2 | 52 |
| 46.4 | 100 |

Structure:
```
data_V12Ga3Mo
_cell_length_a 4.7777
_cell_length_b 4.8219
_cell_length_c 9.5758
_cell_angle_alpha 90.00
_cell_angle_beta 90.00
_cell_angle_gamma 90.00
_space_group_name_H-M_alt 'P 1'
_space_group_IT_number 1
loop_
_space_group_symop_operation_xyz
'x,y,z'
loop_
_atom_site_label
_atom_site_type_symbol
_atom_site_fract_x
_atom_site_fract_y
_atom_site_fract_z
V1 V 0.0000 0.0000 0.1251
V2 V 0.0000 0.0000 0.3748
V3 V 0.0000 0.0000 0.6252
V4 V 0.0000 0.0000 0.8749
V5 V 0.2522 0.5000 0.0000
V6 V 0.2545 0.5000 0.5000
V7 V 0.5000 0.2460 0.2504
V8 V 0.5000 0.2460 0.7496
V9 V 0.5000 0.7540 0.2504
V10 V 0.5000 0.7540 0.7496
V11 V 0.7455 0.5000 0.5000
V12 V 0.7478 0.5000 0.0000
Ga1 Ga 0.0000 0.5000 0.2509
Ga2 Ga 0.0000 0.5000 0.7491
Ga3 Ga 0.5000 0.0000 0.5000
Mo1 Mo 0.5000 0.0000 0.0000
```

Computed XRD peak list
Compound: V6Ga10Mo
Radiation: copper Kα
Structure: a GGA-PBE-relaxed structure
Kinematic intensities with the Lorentz-polarization factor, no thermal factor.

Principal peaks in the range 10° ≤ 2θ ≤ 90°, in order of rising 2θ:
| 2theta | intensity |
| --- | --- |
| 32.3 | 16 |
| 40.3 | 51 |
| 41.2 | 78 |
| 42.4 | 100 |
| 60.7 | 23 |
| 64.4 | 14 |

Structure:
```
data_V6Ga10Mo
_cell_length_a 7.5822
_cell_length_b 7.5822
_cell_length_c 5.1505
_cell_angle_alpha 90.00
_cell_angle_beta 90.00
_cell_angle_gamma 120.00
_space_group_name_H-M_alt 'P 1'
_space_group_IT_number 1
loop_
_space_group_symop_operation_xyz
'x,y,z'
loop_
_atom_site_label
_atom_site_type_symbol
_atom_site_fract_x
_atom_site_fract_y
_atom_site_fract_z
V1 V 0.0000 0.3789 0.3166
V2 V 0.0000 0.6211 0.6834
V3 V 0.3789 0.0000 0.3166
V4 V 0.3789 0.3789 0.6834
V5 V 0.6211 0.0000 0.6834
V6 V 0.6211 0.6211 0.3166
Ga1 Ga 0.0000 0.2719 0.8176
Ga2 Ga 0.0000 0.7281 0.1824
Ga3 Ga 0.2719 0.0000 0.8176
Ga4 Ga 0.2719 0.2719 0.1824
Ga5 Ga 0.3333 0.6667 0.0000
Ga6 Ga 0.3333 0.6667 0.5000
Ga7 Ga 0.6667 0.3333 0.0000
Ga8 Ga 0.6667 0.3333 0.5000
Ga9 Ga 0.7281 0.0000 0.1824
Ga10 Ga 0.7281 0.7281 0.8176
Mo1 Mo 0.0000 0.0000 0.5000
```

Computed XRD peak list
Compound: V3Ga4Mo
Radiation: copper Kα
Structure: a GGA-PBE-relaxed structure
Kinematic intensities with the Lorentz-polarization factor, no thermal factor.

Principal peaks in the range 10° ≤ 2θ ≤ 90°, in order of rising 2θ:
| 2theta | intensity |
| --- | --- |
| 40.2 | 100 |
| 40.4 | 99 |
| 45.7 | 34 |
| 47.5 | 61 |
| 68.0 | 39 |
| 83.2 | 22 |

Structure:
```
data_V3Ga4Mo
_cell_length_a 7.9402
_cell_length_b 5.4349
_cell_length_c 5.4026
_cell_angle_alpha 90.00
_cell_angle_beta 90.00
_cell_angle_gamma 90.00
_space_group_name_H-M_alt 'P 1'
_space_group_IT_number 1
loop_
_space_group_symop_operation_xyz
'x,y,z'
loop_
_atom_site_label
_atom_site_type_symbol
_atom_site_fract_x
_atom_site_fract_y
_atom_site_fract_z
V1 V 0.0000 0.0000 0.0000
V2 V 0.2500 0.2454 0.2500
V3 V 0.2500 0.7546 0.7500
V4 V 0.5000 0.0000 0.5000
V5 V 0.7500 0.2454 0.2500
V6 V 0.7500 0.7546 0.7500
Ga1 Ga 0.0000 0.0000 0.5000
Ga2 Ga 0.0000 0.5000 0.5000
Ga3 Ga 0.2500 0.2485 0.7500
Ga4 Ga 0.2500 0.7515 0.2500
Ga5 Ga 0.5000 0.0000 0.0000
Ga6 Ga 0.5000 0.5000 0.0000
Ga7 Ga 0.7500 0.2485 0.7500
Ga8 Ga 0.7500 0.7515 0.2500
Mo1 Mo 0.0000 0.5000 0.0000
Mo2 Mo 0.5000 0.5000 0.5000
```

Computed XRD peak list
Compound: V3Ga2Mo4
Radiation: copper Kα
Structure: a GGA-PBE-relaxed structure
Kinematic intensities with the Lorentz-polarization factor, no thermal factor.

Principal peaks in the range 10° ≤ 2θ ≤ 90°, in order of rising 2θ:
| 2theta | intensity |
| --- | --- |
| 30.2 | 44 |
| 37.5 | 61 |
| 38.3 | 65 |
| 39.0 | 100 |
| 43.2 | 53 |
| 45.5 | 70 |

Structure:
```
data_V3Ga2Mo4
_cell_length_a 7.0833
_cell_length_b 8.1083
_cell_length_c 4.9189
_cell_angle_alpha 90.00
_cell_angle_beta 104.29
_cell_angle_gamma 90.00
_space_group_name_H-M_alt 'P 1'
_space_group_IT_number 1
loop_
_space_group_symop_operation_xyz
'x,y,z'
loop_
_atom_site_label
_atom_site_type_symbol
_atom_site_fract_x
_atom_site_fract_y
_atom_site_fract_z
V1 V 0.0000 0.0000 0.0000
V2 V 0.0000 0.5000 0.5000
V3 V 0.2097 0.1710 0.6508
V4 V 0.2097 0.3290 0.1508
V5 V 0.7903 0.6710 0.8492
V6 V 0.7903 0.8290 0.3492
Ga1 Ga 0.4657 0.7475 0.9859
Ga2 Ga 0.4657 0.7525 0.4859
Ga3 Ga 0.5343 0.2475 0.5141
Ga4 Ga 0.5343 0.2525 0.0141
Mo1 Mo 0.1334 0.6567 0.1083
Mo2 Mo 0.1334 0.8433 0.6083
Mo3 Mo 0.3499 0.0127 0.1892
Mo4 Mo 0.3499 0.4873 0.6892
Mo5 Mo 0.6501 0.5127 0.3108
Mo6 Mo 0.6501 0.9873 0.8108
Mo7 Mo 0.8666 0.1567 0.3917
Mo8 Mo 0.8666 0.3433 0.8917
```

Computed XRD peak list
Compound: V15Ga2Mo2
Radiation: copper Kα
Structure: a GGA-PBE-relaxed structure
Kinematic intensities with the Lorentz-polarization factor, no thermal factor.

Principal peaks in the range 10° ≤ 2θ ≤ 90°, in order of rising 2θ:
| 2theta | intensity |
| --- | --- |
| 13.7 | 46 |
| 36.6 | 64 |
| 41.8 | 100 |
| 42.0 | 98 |
| 42.5 | 88 |
| 47.4 | 55 |

Structure:
```
data_V15Ga2Mo2
_cell_length_a 6.6265
_cell_length_b 6.6265
_cell_length_c 6.6265
_cell_angle_alpha 79.93
_cell_angle_beta 79.93
_cell_angle_gamma 79.93
_space_group_name_H-M_alt 'P 1'
_space_group_IT_number 1
loop_
_space_group_symop_operation_xyz
'x,y,z'
loop_
_atom_site_label
_atom_site_type_symbol
_atom_site_fract_x
_atom_site_fract_y
_atom_site_fract_z
V1 V 0.0000 0.0000 0.5000
V2 V 0.0000 0.2959 0.7041
V3 V 0.0000 0.5000 0.0000
V4 V 0.0000 0.7041 0.2959
V5 V 0.1633 0.6243 0.6243
V6 V 0.2959 0.0000 0.7041
V7 V 0.2959 0.7041 0.0000
V8 V 0.3757 0.3757 0.8367
V9 V 0.3757 0.8367 0.3757
V10 V 0.5000 0.0000 0.0000
V11 V 0.6243 0.1633 0.6243
V12 V 0.6243 0.6243 0.1633
V13 V 0.7041 0.0000 0.2959
V14 V 0.7041 0.2959 0.0000
V15 V 0.8367 0.3757 0.3757
Ga1 Ga 0.3082 0.3082 0.3082
Ga2 Ga 0.6918 0.6918 0.6918
Mo1 Mo 0.0976 0.0976 0.0976
Mo2 Mo 0.9024 0.9024 0.9024
```

Computed XRD peak list
Compound: Zn2Ga4Mo
Radiation: copper Kα
Structure: a GGA-PBE-relaxed structure
Kinematic intensities with the Lorentz-polarization factor, no thermal factor.

Principal peaks in the range 10° ≤ 2θ ≤ 90°, in order of rising 2θ:
| 2theta | intensity |
| --- | --- |
| 34.1 | 100 |
| 35.7 | 90 |
| 42.1 | 26 |
| 43.5 | 27 |
| 47.0 | 34 |
| 55.3 | 35 |

Structure:
```
data_Zn2Ga4Mo
_cell_length_a 6.0676
_cell_length_b 6.0676
_cell_length_c 6.6398
_cell_angle_alpha 90.00
_cell_angle_beta 90.00
_cell_angle_gamma 90.00
_space_group_name_H-M_alt 'P 1'
_space_group_IT_number 1
loop_
_space_group_symop_operation_xyz
'x,y,z'
loop_
_atom_site_label
_atom_site_type_symbol
_atom_site_fract_x
_atom_site_fract_y
_atom_site_fract_z
Zn1 Zn 0.0000 0.5000 0.2500
Zn2 Zn 0.0000 0.5000 0.7500
Zn3 Zn 0.5000 0.0000 0.2500
Zn4 Zn 0.5000 0.0000 0.7500
Ga1 Ga 0.1638 0.1638 0.1385
Ga2 Ga 0.1638 0.8362 0.8615
Ga3 Ga 0.3362 0.3362 0.6385
Ga4 Ga 0.3362 0.6638 0.3615
Ga5 Ga 0.6638 0.3362 0.3615
Ga6 Ga 0.6638 0.6638 0.6385
Ga7 Ga 0.8362 0.1638 0.8615
Ga8 Ga 0.8362 0.8362 0.1385
Mo1 Mo 0.0000 0.0000 0.5000
Mo2 Mo 0.5000 0.5000 0.0000
```

Computed XRD peak list
Compound: Zn9Ga3Mo2
Radiation: copper Kα
Structure: a GGA-PBE-relaxed structure
Kinematic intensities with the Lorentz-polarization factor, no thermal factor.

Principal peaks in the range 10° ≤ 2θ ≤ 90°, in order of rising 2θ:
| 2theta | intensity |
| --- | --- |
| 39.3 | 69 |
| 41.1 | 38 |
| 43.3 | 100 |
| 49.4 | 34 |
| 68.4 | 24 |
| 83.0 | 27 |

Structure:
```
data_Zn9Ga3Mo2
_cell_length_a 5.4863
_cell_length_b 5.4863
_cell_length_c 8.7780
_cell_angle_alpha 90.00
_cell_angle_beta 90.00
_cell_angle_gamma 120.00
_space_group_name_H-M_alt 'P 1'
_space_group_IT_number 1
loop_
_space_group_symop_operation_xyz
'x,y,z'
loop_
_atom_site_label
_atom_site_type_symbol
_atom_site_fract_x
_atom_site_fract_y
_atom_site_fract_z
Zn1 Zn 0.0000 0.5000 0.0000
Zn2 Zn 0.1595 0.3190 0.7583
Zn3 Zn 0.1595 0.8405 0.7583
Zn4 Zn 0.3190 0.1595 0.2417
Zn5 Zn 0.5000 0.0000 0.0000
Zn6 Zn 0.5000 0.5000 0.0000
Zn7 Zn 0.6810 0.8405 0.7583
Zn8 Zn 0.8405 0.1595 0.2417
Zn9 Zn 0.8405 0.6810 0.2417
Ga1 Ga 0.0000 0.5000 0.5000
Ga2 Ga 0.5000 0.0000 0.5000
Ga3 Ga 0.5000 0.5000 0.5000
Mo1 Mo 0.3333 0.6667 0.2612
Mo2 Mo 0.6667 0.3333 0.7388
```

Computed XRD peak list
Compound: Zr2Ga6Mo
Radiation: copper Kα
Structure: a GGA-PBE-relaxed structure
Kinematic intensities with the Lorentz-polarization factor, no thermal factor.

Principal peaks in the range 10° ≤ 2θ ≤ 90°, in order of rising 2θ:
| 2theta | intensity |
| --- | --- |
| 32.5 | 32 |
| 35.6 | 46 |
| 36.4 | 45 |
| 39.1 | 61 |
| 39.6 | 49 |
| 42.1 | 100 |

Structure:
```
data_Zr2Ga6Mo
_cell_length_a 5.8386
_cell_length_b 5.8386
_cell_length_c 5.7682
_cell_angle_alpha 100.29
_cell_angle_beta 100.29
_cell_angle_gamma 56.16
_space_group_name_H-M_alt 'P 1'
_space_group_IT_number 1
loop_
_space_group_symop_operation_xyz
'x,y,z'
loop_
_atom_site_label
_atom_site_type_symbol
_atom_site_fract_x
_atom_site_fract_y
_atom_site_fract_z
Zr1 Zr 0.1387 0.1387 0.3487
Zr2 Zr 0.8613 0.8613 0.6513
Ga1 Ga 0.1113 0.6408 0.1615
Ga2 Ga 0.3407 0.3407 0.7752
Ga3 Ga 0.3592 0.8887 0.8385
Ga4 Ga 0.6408 0.1113 0.1615
Ga5 Ga 0.6593 0.6593 0.2248
Ga6 Ga 0.8887 0.3592 0.8385
Mo1 Mo 0.5000 0.5000 0.5000
```

Computed XRD peak list
Compound: ZrGaMo
Radiation: copper Kα
Structure: a GGA-PBE-relaxed structure
Kinematic intensities with the Lorentz-polarization factor, no thermal factor.

Principal peaks in the range 10° ≤ 2θ ≤ 90°, in order of rising 2θ:
| 2theta | intensity |
| --- | --- |
| 33.6 | 54 |
| 39.4 | 83 |
| 39.5 | 60 |
| 40.0 | 100 |
| 41.9 | 55 |
| 70.7 | 47 |

Structure:
```
data_ZrGaMo
_cell_length_a 5.2551
_cell_length_b 5.3991
_cell_length_c 7.5435
_cell_angle_alpha 90.00
_cell_angle_beta 90.00
_cell_angle_gamma 90.00
_space_group_name_H-M_alt 'P 1'
_space_group_IT_number 1
loop_
_space_group_symop_operation_xyz
'x,y,z'
loop_
_atom_site_label
_atom_site_type_symbol
_atom_site_fract_x
_atom_site_fract_y
_atom_site_fract_z
Zr1 Zr 0.0000 0.2500 0.1172
Zr2 Zr 0.0000 0.7500 0.8828
Zr3 Zr 0.5000 0.2500 0.3828
Zr4 Zr 0.5000 0.7500 0.6172
Ga1 Ga 0.0000 0.0000 0.5000
Ga2 Ga 0.0000 0.5000 0.5000
Ga3 Ga 0.5000 0.0000 0.0000
Ga4 Ga 0.5000 0.5000 0.0000
Mo1 Mo 0.2500 0.2500 0.7500
Mo2 Mo 0.2500 0.7500 0.2500
Mo3 Mo 0.7500 0.2500 0.7500
Mo4 Mo 0.7500 0.7500 0.2500
```